Starting from a cell relaxed with PBE+U, the X-ray diffraction stick pattern of RbMoRuO6 was calculated for Cu Kα, 1.54184 Å.
Neutral-atom scattering factors, no anomalous dispersion.

Structural model:
```
data_RbMoRuO6
_cell_length_a 5.2926
_cell_length_b 5.2926
_cell_length_c 6.3327
_cell_angle_alpha 90.00
_cell_angle_beta 90.00
_cell_angle_gamma 120.00
_symmetry_space_group_name_H-M 'P 3'
_symmetry_Int_Tables_number 143
_symmetry_space_group_name_Hall 'P 3'
loop_
_atom_site_label
_atom_site_type_symbol
_atom_site_fract_x
_atom_site_fract_y
_atom_site_fract_z
Rb1 Rb 0.0000 0.0000 0.0000
Mo1 Mo 0.3333 0.6667 0.5176
Ru1 Ru 0.6667 0.3333 0.4697
O1 O 0.0021 0.3830 0.6616
O2 O 0.0057 0.6059 0.3156
```

Peak list (10 most intense, 2θ = 5–70°, by angle)
13.98 deg, I = 42; 23.97 deg, I = 100; 28.18 deg, I = 14; 33.87 deg, I = 31; 36.81 deg, I = 11; 41.92 deg, I = 16; 44.63 deg, I = 45; 47.42 deg, I = 13; 54.95 deg, I = 19; 60.61 deg, I = 11